[1]
Diffraction record for Na2SnC4O8. The X-ray diffraction stick pattern is theoretical, not measured: it uses a crystal structure in the Materials Project, relaxed with PBE and Cu Kα (weighted mean of Kα1 and Kα2).

The 10 most intense peaks (10 to 90 degrees two-theta), by intensity:
2θ 18.0, intensity 100, hkl 1 1 -1; 2θ 29.1, intensity 88, hkl 1 1 3; 2θ 24.8, intensity 73, hkl 1 1 -3; 2θ 20.0, intensity 66, hkl 1 1 1; 2θ 30.0, intensity 59, hkl 1 1 -4; 2θ 25.5, intensity 49, hkl 2 0 2; 2θ 17.7, intensity 47, hkl 2 0 0; 2θ 36.0, intensity 45, hkl 4 0 0; 2θ 13.4, intensity 43, hkl 0 0 2; 2θ 32.1, intensity 41, hkl 3 1 -3

Crystal structure
Lattice parameters (Å, degrees): 10.5331 5.7638 13.8895 90.00 108.38 90.00
Space group C2/c (No. 15)
Unique sites:
Na  0.1881  0.0129  0.0512 x8
Sn  0.0000  0.1758  0.7500 x4
C  0.0117  0.4062  0.1104 x8
C  0.1544  0.4853  0.6342 x8
O  0.0132  0.2227  0.4404 x8
O  0.0734  0.4805  0.8587 x8
O  0.1757  0.2969  0.6852 x8
O  0.2357  0.4145  0.0983 x8


[2]
Diffraction record for FeN2Cl2. The X-ray diffraction stick pattern is theoretical, not measured: it uses a crystal structure in the Materials Project, relaxed with PBE and Cu Kα (weighted mean of Kα1 and Kα2).

The 10 most intense peaks (10 to 90 degrees two-theta), by intensity:
2θ 17.5, intensity 100, hkl 1 1 0; 2θ 35.9, intensity 56, hkl 0 2 1; 2θ 25.5, intensity 35, hkl 2 0 0; 2θ 44.5, intensity 24, hkl 2 2 1; 2θ 47.4, intensity 24, hkl 1 3 1; 2θ 65.1, intensity 15, hkl 4 2 1; 2θ 31.7, intensity 14, hkl 1 1 1; 2θ 61.2, intensity 10, hkl 3 3 1; 2θ 40.6, intensity 9, hkl 3 1 0; 2θ 52.3, intensity 9, hkl 4 0 0

Crystal structure
Lattice parameters (Å, degrees): 6.9973 7.3897 3.3942 90.00 90.00 90.00
Space group Cmmm (No. 65)
Unique sites:
Fe  0.0000  0.0000  0.0000 x2
N  0.2430  0.0000  0.0000 x4
Cl  0.0000  0.2124  0.5000 x4


[3]
Diffraction record for EuBO3. The X-ray diffraction stick pattern is theoretical, not measured: it uses a crystal structure in the Materials Project, relaxed with PBE and Cu Kα (weighted mean of Kα1 and Kα2).

The 10 most intense peaks (10 to 90 degrees two-theta), by intensity:
2θ 32.1, intensity 100, hkl 2 1 1; 2θ 25.1, intensity 97, hkl 0 1 1; 2θ 19.8, intensity 70, hkl 2 0 0; 2θ 25.6, intensity 51, hkl 0 2 0; 2θ 48.0, intensity 50, hkl 4 1 1; 2θ 32.6, intensity 43, hkl 2 2 0; 2θ 44.9, intensity 39, hkl 0 3 1; 2θ 49.5, intensity 31, hkl 2 3 1; 2θ 48.3, intensity 26, hkl 4 2 0; 2θ 55.7, intensity 23, hkl 2 2 2

Crystal structure
Lattice parameters (Å, degrees): 8.9696 6.9475 4.1335 90.00 90.00 90.00
Space group Ama2 (No. 40)
Unique sites:
Eu  0.0000  0.0000  0.0000 x4
B  0.2500  0.1253  0.3965 x4
O  0.1093  0.1664  0.5161 x8
O  0.2500  0.0276  0.1048 x4